Entry 1:
Structure and computed powder X-ray diffraction pattern of DyY3Th2 (a crystal structure in Alexandria, relaxed with GGA-PBE; Cu Kα (weighted mean of Kα1 and Kα2)).

Most intense lines, 2θ from 10° to 80°, by angle:
2theta  I (rel.)
12.07  34
18.80  10
27.72  8
30.63  99
30.75  98
35.58  100
51.00  12
51.24  59
60.74  29
60.96  56
63.77  12
64.04  12

Crystal structure
```
DyY3Th2
1.0
10.077 0.000 0.000
0.000 3.581 0.000
-0.004 0.000 10.684
Dy Y Th
2 6 4
direct
0.124 0.250 0.250 Dy
0.876 0.750 0.750 Dy
0.132 0.250 0.918 Y
0.367 0.750 0.418 Y
0.376 0.750 0.750 Y
0.624 0.250 0.250 Y
0.633 0.250 0.582 Y
0.868 0.750 0.082 Y
0.121 0.250 0.582 Th
0.378 0.750 0.082 Th
0.622 0.250 0.918 Th
0.879 0.750 0.418 Th
```


Entry 2:
Structure and computed powder X-ray diffraction pattern of SrCuBr3 (a crystal structure in Alexandria, relaxed with GGA-PBE; Cu Kα (weighted mean of Kα1 and Kα2)).

Most intense lines, 2θ from 10° to 80°, by angle:
2theta  I (rel.)
26.95  31
28.12  43
28.56  36
28.70  94
30.72  100
30.84  84
32.40  25
34.78  39
43.30  53
47.20  24
47.73  30
50.13  28

Crystal structure
```
SrCuBr3
1.0
7.999 0.000 0.000
0.000 7.136 0.000
0.000 0.000 10.428
Sr Cu Br
4 4 12
direct
0.119 0.061 0.000 Sr
0.381 0.561 0.500 Sr
0.619 0.439 0.000 Sr
0.881 0.939 0.500 Sr
0.153 0.591 0.157 Cu
0.347 0.091 0.657 Cu
0.653 0.909 0.157 Cu
0.847 0.409 0.657 Cu
0.048 0.333 0.499 Br
0.174 0.827 0.687 Br
0.179 0.831 0.321 Br
0.321 0.331 0.821 Br
0.326 0.327 0.187 Br
0.452 0.833 0.999 Br
0.548 0.167 0.499 Br
0.674 0.673 0.687 Br
0.679 0.669 0.321 Br
0.821 0.169 0.821 Br
0.826 0.173 0.187 Br
0.952 0.667 0.999 Br
```


Entry 3:
Structure and computed powder X-ray diffraction pattern of VFeS (a crystal structure in Alexandria, relaxed with GGA-PBE; Cu Kα (weighted mean of Kα1 and Kα2)).

Most intense lines, 2θ from 10° to 80°, by angle:
2theta  I (rel.)
27.65  8
30.08  8
41.31  100
48.91  60
57.11  1
58.49  6
62.52  9
65.89  22
69.68  1
78.44  1

Crystal structure
```
VFeS
1.0
3.725 0.000 0.000
-1.862 3.226 0.000
0.000 0.000 2.971
V Fe S
1 1 1
direct
0.000 0.000 0.000 V
0.667 0.333 0.500 Fe
0.333 0.667 0.500 S
```


Entry 4:
Structure and computed powder X-ray diffraction pattern of Li8CdPt2 (a crystal structure in Alexandria, relaxed with GGA-PBE; Cu Kα (weighted mean of Kα1 and Kα2)).

Most intense lines, 2θ from 10° to 80°, by angle:
2theta  I (rel.)
13.65  36
20.93  19
22.07  57
25.07  100
26.85  36
39.20  31
40.55  17
40.66  17
41.78  14
42.85  14
44.99  13
45.44  34

Crystal structure
```
Li8CdPt2
1.0
4.028 -5.467 0.000
4.028 5.467 0.000
-0.013 0.000 4.244
Li Cd Pt
8 1 2
direct
0.152 0.152 0.999 Li
0.178 0.467 0.499 Li
0.239 0.761 0.000 Li
0.467 0.178 0.499 Li
0.533 0.822 0.501 Li
0.761 0.239 0.000 Li
0.822 0.533 0.501 Li
0.848 0.848 0.001 Li
0.500 0.500 0.000 Cd
0.121 0.879 0.500 Pt
0.879 0.121 0.500 Pt
```


Entry 5:
Structure and computed powder X-ray diffraction pattern of Na2Bi2Rh (a crystal structure in Alexandria, relaxed with GGA-PBE; Cu Kα (weighted mean of Kα1 and Kα2)).

Most intense lines, 2θ from 10° to 80°, by angle:
2theta  I (rel.)
14.05  34
19.09  22
20.72  74
28.29  59
34.32  100
38.73  18
41.28  14
42.16  15
44.32  17
44.88  16
45.85  37
64.04  19

Crystal structure
```
Na2Bi2Rh
1.0
-1.699 4.287 4.650
1.699 -4.287 4.650
1.699 4.287 -4.650
Na Bi Rh
2 2 1
direct
0.203 0.000 0.203 Na
0.797 0.000 0.797 Na
0.271 0.771 0.500 Bi
0.729 0.229 0.500 Bi
0.500 0.500 0.000 Rh
```


Entry 6:
Structure and computed powder X-ray diffraction pattern of La4Au2N (a crystal structure in Alexandria, relaxed with GGA-PBE; Cu Kα (weighted mean of Kα1 and Kα2)).

Most intense lines, 2θ from 10° to 80°, by angle:
2theta  I (rel.)
18.30  16
24.77  18
27.15  24
27.59  28
30.21  13
34.45  39
34.80  44
34.98  100
38.82  16
50.79  14
59.05  13
62.81  17

Crystal structure
```
La4Au2N
1.0
3.595 -7.396 0.000
3.595 7.396 0.000
0.000 0.000 7.330
La Au N
8 4 2
direct
0.174 0.826 0.943 La
0.229 0.271 0.750 La
0.271 0.229 0.250 La
0.326 0.674 0.443 La
0.674 0.326 0.557 La
0.729 0.771 0.750 La
0.771 0.729 0.250 La
0.826 0.174 0.057 La
0.126 0.874 0.531 Au
0.374 0.626 0.031 Au
0.626 0.374 0.969 Au
0.874 0.126 0.469 Au
0.000 0.000 0.000 N
0.500 0.500 0.500 N
```


Entry 7:
Structure and computed powder X-ray diffraction pattern of TbDyY6Sc2 (a crystal structure in Alexandria, relaxed with GGA-PBE; Cu Kα (weighted mean of Kα1 and Kα2)).

Most intense lines, 2θ from 10° to 80°, by angle:
2theta  I (rel.)
19.78  31
23.22  37
28.54  30
29.06  72
30.83  84
31.22  87
31.76  100
32.04  89
32.18  82
33.12  32
34.57  56
35.18  49

Crystal structure
```
TbDyY6Sc2
1.0
4.524 -7.348 0.000
4.524 7.348 0.000
-1.170 0.000 9.332
Tb Dy Y Sc
2 2 12 4
direct
0.029 0.971 0.750 Tb
0.971 0.029 0.250 Tb
0.408 0.592 0.250 Dy
0.592 0.408 0.750 Dy
0.014 0.560 0.680 Y
0.115 0.760 0.054 Y
0.240 0.885 0.446 Y
0.299 0.508 0.885 Y
0.440 0.986 0.820 Y
0.492 0.701 0.615 Y
0.508 0.299 0.385 Y
0.560 0.014 0.180 Y
0.701 0.492 0.115 Y
0.760 0.115 0.554 Y
0.885 0.240 0.946 Y
0.986 0.440 0.320 Y
0.197 0.300 0.550 Sc
0.300 0.197 0.050 Sc
0.700 0.803 0.950 Sc
0.803 0.700 0.450 Sc
```


Entry 8:
Structure and computed powder X-ray diffraction pattern of Na4Hg6F19 (a crystal structure in Alexandria, relaxed with GGA-PBE; Cu Kα (weighted mean of Kα1 and Kα2)).

Most intense lines, 2θ from 10° to 80°, by angle:
2theta  I (rel.)
12.57  100
17.81  50
21.85  29
28.33  98
31.10  25
33.66  99
44.56  28
46.48  54
53.65  26
55.33  22
56.98  42
66.35  26

Crystal structure
```
Na4Hg6F19
1.0
-4.981 4.981 4.981
4.981 -4.981 4.981
4.981 4.981 -4.981
Na Hg F
4 6 19
direct
0.000 0.000 0.263 Na
0.000 0.263 0.000 Na
0.263 0.000 0.000 Na
0.737 0.737 0.737 Na
0.181 0.500 0.681 Hg
0.319 0.819 0.500 Hg
0.500 0.319 0.819 Hg
0.500 0.681 0.181 Hg
0.681 0.181 0.500 Hg
0.819 0.500 0.319 Hg
0.000 0.000 0.000 F
0.000 0.352 0.352 F
0.000 0.648 0.648 F
0.018 0.761 0.341 F
0.239 0.257 0.580 F
0.257 0.580 0.239 F
0.323 0.743 0.982 F
0.341 0.018 0.761 F
0.352 0.000 0.352 F
0.352 0.352 0.000 F
0.420 0.677 0.659 F
0.580 0.239 0.257 F
0.648 0.000 0.648 F
0.648 0.648 0.000 F
0.659 0.420 0.677 F
0.677 0.659 0.420 F
0.743 0.982 0.323 F
0.761 0.341 0.018 F
0.982 0.323 0.743 F
```


Which formula does entry 8 have?
Na4Hg6F19